Record 1
The following is a calculated powder diffraction line list of Be2Co3. It was derived from a PBE-relaxed structure, using CuKα.

Cell and atoms:
```
Be2Co3
1.0
0.0000 5.6872 2.1408
3.9021 0.0000 2.1408
3.9021 5.6872 0.0000
Be Co
4 6
Cartesian
4.0001 3.4165 2.1408
5.7551 6.2602 3.2113
3.8041 7.9580 2.1408
5.9511 10.8016 3.2113
3.7428 1.1720 2.0687
1.7918 1.6717 0.9982
2.1103 4.0156 0.9982
3.9021 5.6872 2.0567
5.8531 8.5309 3.1271
4.0614 10.2025 2.0687
```

The 8 most intense peaks (2θ from 10° to 90°), by angle:
- 2θ 27.73, rel. 81.9
- 2θ 33.60, rel. 65.5
- 2θ 45.26, rel. 21.6
- 2θ 46.55, rel. 43.1
- 2θ 46.69, rel. 100.0
- 2θ 47.40, rel. 27.8
- 2θ 48.50, rel. 86.1
- 2θ 58.01, rel. 45.6



Record 2
The following is a calculated powder diffraction line list of BeCr4Co. It was derived from a PBE-relaxed structure, using CuKα.

Cell and atoms:
```
BeCr4Co
1.0
0.0000 3.2626 3.2626
3.2626 0.0000 3.2626
3.2626 3.2626 0.0000
Be Cr Co
1 4 1
Cartesian
0.0000 0.0000 0.0000
2.4365 2.4365 2.4365
4.0887 4.0887 2.4365
4.0887 2.4365 4.0887
2.4365 4.0887 4.0887
4.8940 4.8940 4.8940
```

The 8 most intense peaks (2θ from 10° to 90°), by angle:
- 2θ 23.62, rel. 41.6
- 2θ 27.34, rel. 15.8
- 2θ 39.04, rel. 15.3
- 2θ 46.14, rel. 100.0
- 2θ 48.32, rel. 54.7
- 2θ 56.40, rel. 10.4
- 2θ 75.74, rel. 26.7
- 2θ 83.88, rel. 22.8



Record 3
The following is a calculated powder diffraction line list of BeCoCuRu2. It was derived from a PBE-relaxed structure, using CuKα.

Cell and atoms:
```
BeCoCuRu2
1.0
4.4714 0.0000 0.0000
0.0000 4.4714 0.0000
0.0000 0.0000 4.2094
Be Co Cu Ru
1 1 1 2
Cartesian
0.0000 0.0000 0.0000
2.2357 2.2357 0.0000
2.2357 2.2357 2.1047
0.0000 2.2357 2.1047
2.2357 0.0000 2.1047
```

The 8 most intense peaks (2θ from 10° to 90°), by angle:
- 2θ 19.86, rel. 81.4
- 2θ 21.11, rel. 96.6
- 2θ 35.51, rel. 100.0
- 2θ 40.34, rel. 97.7
- 2θ 42.97, rel. 40.6
- 2θ 45.96, rel. 48.9
- 2θ 58.37, rel. 31.6
- 2θ 60.41, rel. 56.6



Record 4
The following is a calculated powder diffraction line list of Dy3Be2Co7. It was derived from a PBE-relaxed structure, using CuKα.

Cell and atoms:
```
Dy3Be2Co7
1.0
2.4854 1.4350 7.6942
-2.4854 1.4350 7.6942
0.0000 -2.8699 7.6942
Dy Be Co
3 2 7
Cartesian
0.0000 0.0000 0.0000
0.0000 0.0000 3.2375
0.0000 0.0000 19.8451
0.0000 0.0000 7.7044
0.0000 0.0000 15.3783
-1.2425 -0.7173 9.4716
0.0000 -1.4347 13.6111
-1.2425 0.7173 13.6111
0.0000 0.0000 11.5413
1.2425 -0.7173 9.4716
0.0000 1.4347 9.4716
1.2425 0.7173 13.6110
```

The 8 most intense peaks (2θ from 10° to 90°), by angle:
- 2θ 20.99, rel. 38.2
- 2θ 34.25, rel. 97.2
- 2θ 36.14, rel. 55.3
- 2θ 37.53, rel. 78.6
- 2θ 42.16, rel. 75.8
- 2θ 43.34, rel. 100.0
- 2θ 63.79, rel. 31.9
- 2θ 72.18, rel. 34.7



Record 5
The following is a calculated powder diffraction line list of ErBe3Co3. It was derived from a PBE-relaxed structure, using CuKα.

Cell and atoms:
```
ErBe3Co3
1.0
5.6855 0.0000 0.0000
0.0000 5.6855 0.0000
0.0000 0.0000 5.6855
Er Be Co
2 6 6
Cartesian
0.0000 0.0000 0.0000
2.8428 2.8428 2.8428
0.0000 1.4214 2.8428
0.0000 4.2641 2.8428
1.4214 2.8428 0.0000
2.8428 0.0000 1.4214
2.8428 0.0000 4.2641
4.2641 2.8428 0.0000
0.0000 2.8428 1.4214
0.0000 2.8428 4.2641
1.4214 0.0000 2.8428
2.8428 1.4214 0.0000
2.8428 4.2641 0.0000
4.2641 0.0000 2.8428
```

The 8 most intense peaks (2θ from 10° to 90°), by angle:
- 2θ 22.11, rel. 34.6
- 2θ 31.47, rel. 44.3
- 2θ 35.30, rel. 30.1
- 2θ 38.80, rel. 100.0
- 2θ 60.97, rel. 52.0
- 2θ 65.69, rel. 12.5
- 2θ 74.66, rel. 14.2
- 2θ 78.99, rel. 12.2



Record 6
The following is a calculated powder diffraction line list of Er2BeCo6Ge. It was derived from a PBE-relaxed structure, using CuKα.

Cell and atoms:
```
Er2BeCo6Ge
1.0
0.0000 4.1637 4.1637
4.1637 0.0000 4.1637
4.1637 4.1637 0.0000
Er Be Co Ge
2 1 6 1
Cartesian
2.0819 2.0819 2.0819
6.2456 6.2456 6.2456
0.0000 0.0000 0.0000
4.1637 4.1637 1.9530
4.1637 1.9530 4.1637
6.3745 4.1637 4.1637
1.9530 4.1637 4.1637
4.1637 6.3745 4.1637
4.1637 4.1637 6.3745
4.1637 4.1637 4.1637
```

The 8 most intense peaks (2θ from 10° to 90°), by angle:
- 2θ 30.36, rel. 58.8
- 2θ 37.41, rel. 100.0
- 2θ 43.47, rel. 77.4
- 2θ 53.94, rel. 22.9
- 2θ 63.16, rel. 47.7
- 2θ 75.77, rel. 33.1
- 2θ 79.79, rel. 15.5
- 2θ 87.70, rel. 14.0